# LiZnFeO3
Computed PXRD pattern, a wavelength of 1.5418 Å. Input: a cell relaxed with GGA+U.
Lines closer than 0.1° are merged.

Top 10 peaks for 10 to 90 degrees two-theta, by angle:
two_theta	I (rel.)	index
19.51	40	0 0 2
23.34	62	0 1 1
31.27	27	1 0 1
36.55	35	0 1 3
36.71	34	1 1 0
41.91	19	1 1 2
42.28	100	1 0 3
43.10	48	0 2 0
61.55	14	2 0 0
61.97	55	1 2 3

Atomic structure:
```
data_LiZnFeO3
_cell_length_a 3.0134
_cell_length_b 4.1972
_cell_length_c 9.0981
_cell_angle_alpha 90.00
_cell_angle_beta 90.00
_cell_angle_gamma 90.00
_symmetry_space_group_name_H-M 'I m m 2'
_symmetry_Int_Tables_number 44
_symmetry_space_group_name_Hall 'I 2 -2'
loop_
_atom_site_label
_atom_site_type_symbol
_atom_site_fract_x
_atom_site_fract_y
_atom_site_fract_z
_atom_site_occupancy
Li1 Li 0.0000 0.0000 0.0000 1
Zn1 Zn 0.0000 0.0000 0.3358 1
Fe1 Fe 0.0000 0.0000 0.6630 1
O1 O 0.0000 0.5000 0.0092 1
O2 O 0.0000 0.5000 0.3199 1
O3 O 0.0000 0.5000 0.6688 1
```